For Cs2TlSn4Pb3, DFT lattice parameters and positions (GGA-PBE) gives the computed powder diffraction line list in this record (Cu Kα X-rays).

Principal peaks in the range 2θ = 15–90°, in order of rising 2θ:
(hkl)	two_theta	I_rel
1 0 3	26.12	62.0
1 1 2	27.22	100.0
2 0 0	33.70	81.1
1 1 4	35.99	60.8
1 0 5	37.71	28.4
2 1 3	43.13	32.7
1 1 6	47.50	18.0
2 2 0	48.40	31.5
2 1 5	51.46	23.5
3 1 2	56.41	26.9
3 1 4	61.77	26.6
2 0 8	66.13	23.7

Crystal structure
```
data_Cs2TlSn4Pb3
_chemical_formula_sum 'Cs2 Tl1 Sn4 Pb3'
_space_group_name_H-M_alt 'P -4 m 2'
_space_group_IT_number 115
_space_group_name_Hall 'P -4 -2'
_cell_length_a 5.319
_cell_length_b 5.319
_cell_length_c 13.343
_cell_angle_alpha 90.00
_cell_angle_beta 90.00
_cell_angle_gamma 90.00
loop_
_atom_site_label
_atom_site_fract_x
_atom_site_fract_y
_atom_site_fract_z
_atom_site_occupancy
Cs1 0.000 0.500 0.249 1
Tl1 0.500 0.500 0.000 1
Sn1 0.000 0.000 0.500 1
Sn2 0.000 0.500 0.874 1
Sn3 0.500 0.500 0.500 1
Pb1 0.000 0.000 0.000 1
Pb2 0.000 0.500 0.629 1
```

For U2CuGe2O18, DFT lattice parameters and positions (GGA-PBE) gives the computed powder diffraction line list in this record (Cu Kα X-rays).

Principal peaks in the range 2θ = 15–90°, in order of rising 2θ:
(hkl)	two_theta	I_rel
1 1 -1	17.56	38.2
0 2 0	24.84	100.0
4 0 0	26.34	62.1
2 2 0	28.18	45.8
1 1 -2	28.37	69.2
3 1 -2	29.18	71.4
1 1 2	33.40	47.9
4 2 0	36.52	29.0
6 0 0	40.00	22.1
5 1 -3	43.13	24.8
1 3 -2	45.97	27.2
3 3 -2	46.53	26.5

Crystal structure
```
data_U2CuGe2O18
_chemical_formula_sum 'U4 Cu2 Ge4 O36'
_space_group_name_H-M_alt 'C 1 2/m 1'
_space_group_IT_number 12
_space_group_name_Hall '-C 2y'
_cell_length_a 14.884
_cell_length_b 7.168
_cell_length_c 7.135
_cell_angle_alpha 90.00
_cell_angle_beta 114.60
_cell_angle_gamma 90.00
loop_
_atom_site_label
_atom_site_fract_x
_atom_site_fract_y
_atom_site_fract_z
_atom_site_occupancy
U1 0.248 0.000 0.131 1
Cu1 0.000 0.500 0.500 1
Ge1 0.207 0.000 0.636 1
O1 0.000 0.170 0.500 1
O2 0.000 0.414 0.000 1
O3 0.061 0.000 0.452 1
O4 0.084 0.500 0.377 1
O5 0.111 0.500 0.753 1
O6 0.115 0.000 0.001 1
O7 0.238 0.182 0.814 1
O8 0.239 0.000 0.430 1
```

For Dy2Pt3Au2, DFT lattice parameters and positions (GGA-PBE) gives the computed powder diffraction line list in this record (Cu Kα X-rays).

Principal peaks in the range 2θ = 15–90°, in order of rising 2θ:
(hkl)	two_theta	I_rel
1 1 0	23.73	14.5
1 1 -2	30.56	39.6
3 1 -1	35.16	26.2
3 1 0	38.47	98.1
1 1 -3	40.17	100.0
4 0 -3	40.79	44.4
0 2 0	43.27	39.9
2 2 2	60.55	16.8
4 2 -3	60.98	27.5
7 1 -3	71.57	18.8
3 3 0	76.16	13.7
1 3 -3	77.27	11.8

Crystal structure
```
data_Dy2Pt3Au2
_chemical_formula_sum 'Dy4 Pt6 Au4'
_space_group_name_H-M_alt 'C 1 2/m 1'
_space_group_IT_number 12
_space_group_name_Hall '-C 2y'
_cell_length_a 9.724
_cell_length_b 4.181
_cell_length_c 8.211
_cell_angle_alpha 90.00
_cell_angle_beta 119.41
_cell_angle_gamma 90.00
loop_
_atom_site_label
_atom_site_fract_x
_atom_site_fract_y
_atom_site_fract_z
_atom_site_occupancy
Dy1 0.195 0.000 0.281 1
Pt1 0.000 0.500 0.000 1
Pt2 0.026 0.500 0.355 1
Au1 0.161 0.000 0.881 1
```

For ScIn2S4, DFT lattice parameters and positions (GGA-PBE) gives the computed powder diffraction line list in this record (Cu Kα X-rays).

Principal peaks in the range 2θ = 15–90°, in order of rising 2θ:
(hkl)	two_theta	I_rel
1 1 2	22.77	52.5
2 0 0	23.06	30.7
1 0 3	26.69	63.4
1 2 1	26.79	90.4
2 1 1	27.00	36.3
2 2 0	32.61	21.5
0 2 4	39.82	14.8
1 0 5	42.33	25.8
2 3 1	42.65	17.4
3 2 1	42.86	42.1
2 2 4	46.50	100.0
4 0 0	47.13	19.7

Crystal structure
```
data_ScIn2S4
_chemical_formula_sum 'Sc4 In8 S16'
_space_group_name_H-M_alt 'I m m a'
_space_group_IT_number 74
_space_group_name_Hall '-I 2b 2'
_cell_length_a 7.713
_cell_length_b 7.821
_cell_length_c 11.106
_cell_angle_alpha 90.00
_cell_angle_beta 90.00
_cell_angle_gamma 90.00
loop_
_atom_site_label
_atom_site_fract_x
_atom_site_fract_y
_atom_site_fract_z
_atom_site_occupancy
Sc1 0.250 0.250 0.250 1
In1 0.000 0.000 0.000 1
In2 0.000 0.250 0.626 1
S1 0.000 0.024 0.243 1
S2 0.234 0.250 0.015 1
```

For Ce5OsRh, DFT lattice parameters and positions (GGA-PBE) gives the computed powder diffraction line list in this record (Cu Kα X-rays).

Principal peaks in the range 2θ = 15–90°, in order of rising 2θ:
(hkl)	two_theta	I_rel
2 2 -1	32.18	37.7
2 2 0	33.02	57.1
3 1 -1	33.14	82.4
1 1 3	33.30	86.4
2 0 -4	33.46	100.0
0 2 3	35.67	18.0
1 3 0	39.10	27.9
1 3 -1	39.22	32.9
0 2 4	42.45	22.3
1 3 -3	44.92	21.9
1 3 -4	49.99	20.1
4 2 -4	52.58	18.2

Crystal structure
```
data_Ce5OsRh
_chemical_formula_sum 'Ce20 Os4 Rh4'
_space_group_name_H-M_alt 'C 1 2/c 1'
_space_group_IT_number 15
_space_group_name_Hall '-C 2yc'
_cell_length_a 8.781
_cell_length_b 7.198
_cell_length_c 11.240
_cell_angle_alpha 90.00
_cell_angle_beta 109.96
_cell_angle_gamma 90.00
loop_
_atom_site_label
_atom_site_fract_x
_atom_site_fract_y
_atom_site_fract_z
_atom_site_occupancy
Ce1 0.000 0.049 0.250 1
Ce2 0.115 0.353 0.544 1
Ce3 0.211 0.293 0.846 1
Os1 0.000 0.413 0.250 1
Rh1 0.000 0.000 0.000 1
```

For CsCd8Pb2, DFT lattice parameters and positions (GGA-PBE) gives the computed powder diffraction line list in this record (Cu Kα X-rays).

Principal peaks in the range 2θ = 15–90°, in order of rising 2θ:
(hkl)	two_theta	I_rel
1 1 0	17.38	22.4
0 2 3	28.39	100.0
0 2 4	34.32	48.7
2 2 0	35.18	92.6
2 2 1	35.94	14.7
2 0 3	36.94	49.7
0 4 0	37.29	39.4
2 0 4	41.80	28.1
2 4 3	53.50	33.6
2 4 4	57.25	26.7
2 2 7	63.86	17.8
4 2 3	69.30	15.6

Crystal structure
```
data_CsCd8Pb2
_chemical_formula_sum 'Cs2 Cd16 Pb4'
_space_group_name_H-M_alt 'C m m m'
_space_group_IT_number 65
_space_group_name_Hall '-C 2 2'
_cell_length_a 6.012
_cell_length_b 9.646
_cell_length_c 12.434
_cell_angle_alpha 90.00
_cell_angle_beta 90.00
_cell_angle_gamma 90.00
loop_
_atom_site_label
_atom_site_fract_x
_atom_site_fract_y
_atom_site_fract_z
_atom_site_occupancy
Cs1 0.000 0.000 0.000 1
Cd1 0.000 0.500 0.343 1
Cd2 0.250 0.250 0.224 1
Cd3 0.250 0.250 0.500 1
Pb1 0.000 0.000 0.364 1
```

For Th3CoAu, DFT lattice parameters and positions (GGA-PBE) gives the computed powder diffraction line list in this record (Cu Kα X-rays).

Principal peaks in the range 2θ = 15–90°, in order of rising 2θ:
(hkl)	two_theta	I_rel
0 0 2	27.95	31.1
0 2 1	28.89	19.4
0 1 2	30.74	32.6
1 2 -1	30.89	100.0
2 0 -1	31.42	39.5
2 0 0	33.40	31.3
2 0 -2	35.55	18.5
1 2 1	35.86	78.7
1 2 -2	37.40	29.1
1 1 -3	41.92	15.7
0 4 0	51.76	20.0
3 2 -2	55.97	23.4

Crystal structure
```
data_Th3CoAu
_chemical_formula_sum 'Th6 Co2 Au2'
_space_group_name_H-M_alt 'P 1 21/m 1'
_space_group_IT_number 11
_space_group_name_Hall '-P 2yb'
_cell_length_a 5.714
_cell_length_b 7.065
_cell_length_c 6.798
_cell_angle_alpha 90.00
_cell_angle_beta 110.11
_cell_angle_gamma 90.00
loop_
_atom_site_label
_atom_site_fract_x
_atom_site_fract_y
_atom_site_fract_z
_atom_site_occupancy
Th1 0.146 0.250 0.142 1
Th2 0.293 0.016 0.695 1
Co1 0.398 0.750 0.974 1
Au1 0.221 0.750 0.306 1
```

For Y3ThP4, DFT lattice parameters and positions (GGA-PBE) gives the computed powder diffraction line list in this record (Cu Kα X-rays).

Principal peaks in the range 2θ = 15–90°, in order of rising 2θ:
(hkl)	two_theta	I_rel
1 1 1	25.79	14.3
2 2 0	26.97	68.7
2 0 1	31.24	100.0
2 4 1	44.76	60.3
4 0 0	44.81	12.0
4 2 1	53.03	27.9
0 4 2	55.55	12.6
4 4 0	55.65	12.5
4 0 2	65.17	11.6
6 2 0	71.90	11.1
6 0 1	74.07	26.7
4 8 0	82.59	16.2

Crystal structure
```
data_Y3ThP4
_chemical_formula_sum 'Y6 Th2 P8'
_space_group_name_H-M_alt 'C m m m'
_space_group_IT_number 65
_space_group_name_Hall '-C 2 2'
_cell_length_a 8.090
_cell_length_b 11.442
_cell_length_c 4.056
_cell_angle_alpha 90.00
_cell_angle_beta 90.00
_cell_angle_gamma 90.00
loop_
_atom_site_label
_atom_site_fract_x
_atom_site_fract_y
_atom_site_fract_z
_atom_site_occupancy
Y1 0.000 0.000 0.000 1
Y2 0.250 0.250 0.500 1
Th1 0.000 0.500 0.000 1
P1 0.000 0.248 0.000 1
P2 0.246 0.000 0.500 1
```